Structure and calculated powder diffraction line list of TiZn2SbO6 (a crystal structure in Alexandria, relaxed with PBE; copper Kα).
Lines closer than 0.1° are merged.

Main lines, in order of rising 2θ (5° ≤ 2θ ≤ 70°):
d 5.322, rel. 30; d 2.732, rel. 100; d 2.706, rel. 96; d 2.668, rel. 47; d 2.654, rel. 46; d 1.967, rel. 27; d 1.583, rel. 24; d 1.580, rel. 23; d 1.552, rel. 26; d 1.537, rel. 23

abc: 5.3083 7.8679 5.3365
angles: 90.00 91.05 90.00
Sites, in units of the cell vectors:
Ti 0.0000 0.0000 0.0000
Ti 0.0000 0.5000 0.0000
Zn 0.0002 0.2500 0.4578
Zn 0.9998 0.7500 0.5422
Zn 0.4837 0.2500 0.9813
Zn 0.5163 0.7500 0.0187
Sb 0.5000 0.0000 0.5000
Sb 0.5000 0.5000 0.5000
O 0.1175 0.2500 0.0802
O 0.1580 0.5674 0.3192
O 0.1580 0.9326 0.3192
O 0.3183 0.5679 0.8323
O 0.3183 0.9321 0.8323
O 0.3795 0.2500 0.5858
O 0.6205 0.7500 0.4142
O 0.6817 0.0679 0.1677
O 0.6817 0.4321 0.1677
O 0.8420 0.0674 0.6808
O 0.8420 0.4326 0.6808
O 0.8825 0.7500 0.9198



Structure and calculated powder diffraction line list of Rb3CdHg2 (a crystal structure in Alexandria, relaxed with PBE; copper Kα).
Lines closer than 0.1° are merged.

Main lines, in order of rising 2θ (5° ≤ 2θ ≤ 70°):
d 5.601, rel. 40; d 5.439, rel. 46; d 4.040, rel. 44; d 3.253, rel. 40; d 3.198, rel. 53; d 3.150, rel. 52; d 3.060, rel. 64; d 3.038, rel. 99; d 2.877, rel. 100; d 2.682, rel. 70

abc: 9.4078 10.4453 11.5371
angles: 90.00 103.86 90.00
Sites, in units of the cell vectors:
Rb 0.1620 0.1080 0.4612
Rb 0.1620 0.3920 0.9612
Rb 0.2256 0.0430 0.1032
Rb 0.2256 0.4570 0.6032
Rb 0.3074 0.7166 0.3492
Rb 0.3074 0.7834 0.8492
Rb 0.6926 0.2166 0.1508
Rb 0.6926 0.2834 0.6508
Rb 0.7744 0.5430 0.3968
Rb 0.7744 0.9570 0.8968
Rb 0.8380 0.6080 0.0388
Rb 0.8380 0.8920 0.5388
Cd 0.4001 0.1531 0.8074
Cd 0.4001 0.3469 0.3074
Cd 0.5999 0.6531 0.6926
Cd 0.5999 0.8469 0.1926
Hg 0.0720 0.1099 0.7642
Hg 0.0720 0.3901 0.2642
Hg 0.4862 0.5614 0.1227
Hg 0.4862 0.9386 0.6227
Hg 0.5138 0.0614 0.3773
Hg 0.5138 0.4386 0.8773
Hg 0.9280 0.6099 0.7358
Hg 0.9280 0.8901 0.2358



Structure and calculated powder diffraction line list of CaCrNi (a crystal structure in Alexandria, relaxed with PBE; copper Kα).
Lines closer than 0.1° are merged.

Main lines, in order of rising 2θ (5° ≤ 2θ ≤ 70°):
d 9.548, rel. 100; d 3.355, rel. 6; d 3.056, rel. 4; d 2.605, rel. 14; d 2.185, rel. 12; d 2.062, rel. 14; d 1.951, rel. 20; d 1.911, rel. 10; d 1.582, rel. 3; d 1.562, rel. 3

abc: 3.9017 3.9017 9.8047
angles: 101.36 101.36 59.99
Sites, in units of the cell vectors:
Ca 0.2290 0.2290 0.1852
Ca 0.7710 0.7710 0.8148
Cr 0.3364 0.3364 0.5090
Cr 0.6636 0.6636 0.4910
Ni 0.0419 0.0419 0.6271
Ni 0.9581 0.9581 0.3729